Structure and calculated PXRD pattern of SrLaTaNiO6 (a cell relaxed with GGA+U; λ = 1.5418 Å (Cu Kα)).
Intensities are scaled so that the largest is 100.

Largest 6 diffraction maxima, low angle first, 10 to 90 degrees two-theta:
2theta, d (Å), I (rel.), (hkl)
31.34, 2.854, 18, 10 0 0
31.53, 2.837, 100, 3 1 2
45.09, 2.011, 23, 10 2 0
55.90, 1.645, 17, 13 1 2
56.22, 1.636, 25, 4 2 -4
65.81, 1.419, 12, 14 2 -4

Atomic structure:
a b c (Å): 29.642 5.666 8.013
angles (deg): 90.00 105.65 90.00
Space group Cm (No. 8)
One atom of each set of equivalent atoms:
Sr1 0.000 0.000 0.000 x2
Sr2 0.001 0.000 0.516 x2
Sr3 0.104 0.500 0.100 x2
Sr4 0.108 0.500 0.621 x2
Sr5 0.199 0.000 0.708 x2
La1 0.204 0.000 0.204 x2
La2 0.305 0.500 0.304 x2
La3 0.312 0.500 0.835 x2
La4 0.398 0.000 0.916 x2
La5 0.403 0.000 0.407 x2
Ta1 0.003 0.500 0.262 x2
Ta2 0.003 0.500 0.759 x2
Ta3 0.106 0.000 0.364 x2
Ta4 0.204 0.500 0.959 x2
Ta5 0.301 0.000 0.562 x2
Ni1 0.102 0.000 0.859 x2
Ni2 0.204 0.500 0.457 x2
Ni3 0.303 0.000 0.061 x2
Ni4 0.403 0.500 0.159 x2
Ni5 0.403 0.500 0.659 x2
O1 0.019 0.500 0.521 x2
O2 0.050 0.254 0.839 x4
O3 0.052 0.251 0.268 x4
O4 0.090 0.000 0.586 x2
O5 0.118 0.000 0.130 x2
O6 0.152 0.246 0.442 x4
O7 0.156 0.252 0.880 x4
O8 0.189 0.500 0.190 x2
O9 0.222 0.500 0.737 x2
O10 0.253 0.254 0.063 x4
O11 0.254 0.244 0.451 x4
O12 0.285 0.000 0.782 x2
O13 0.322 0.000 0.338 x2
O14 0.350 0.244 0.657 x4
O15 0.353 0.245 0.059 x4
O16 0.385 0.500 0.392 x2
O17 0.416 0.500 0.921 x2
O18 0.453 0.235 0.661 x4
O19 0.455 0.237 0.254 x4
O20 0.487 0.000 0.994 x2